Calculated PXRD pattern
Compound: PrH4NCl4
Radiation: Cu Kα (λ = 1.5418 Å)
Structure: the GGA-PBE geometry in OQMD
Neutral-atom scattering factors, no anomalous dispersion.

Cell and atoms:
Cell lengths 8.495, 8.495, 8.495 Å; angles 129.74, 129.74, 73.82 degrees
Fractional coordinates of all 20 atoms:
Pr  0.375  0.125  0.250
Pr  0.625  0.875  0.750
H  0.005  0.588  0.256
H  0.088  0.332  0.582
H  0.168  0.251  0.756
H  0.249  0.505  0.918
H  0.751  0.495  0.082
H  0.832  0.749  0.244
H  0.912  0.668  0.418
H  0.995  0.412  0.744
N  0.125  0.375  0.750
N  0.875  0.625  0.250
Cl  0.010  0.784  0.787
Cl  0.277  0.490  0.274
Cl  0.284  0.997  0.774
Cl  0.497  0.223  0.713
Cl  0.503  0.777  0.287
Cl  0.716  0.003  0.226
Cl  0.723  0.510  0.726
Cl  0.990  0.216  0.213

Largest 6 diffraction maxima, in order of falling intensity, 10° ≤ 2θ ≤ 80°:
13.90°, intensity 1000; 21.79°, intensity 960; 36.33°, intensity 836; 35.18°, intensity 445; 41.76°, intensity 317; 34.12°, intensity 247



Calculated PXRD pattern
Compound: YAlZnCo
Radiation: Cu Kα (λ = 1.5418 Å)
Structure: the GGA-PBE geometry in OQMD
Neutral-atom scattering factors, no anomalous dispersion.

Cell and atoms:
Cell lengths 4.559, 4.559, 4.559 Å; angles 60.00, 60.00, 60.00 degrees
Fractional coordinates of all 4 atoms:
Y  0.000  0.000  0.000
Al  0.250  0.250  0.250
Zn  0.750  0.750  0.750
Co  0.500  0.500  0.500

Largest 6 diffraction maxima, in order of falling intensity, 10° ≤ 2θ ≤ 80°:
39.54°, intensity 1000; 71.72°, intensity 316; 57.15°, intensity 162; 23.91°, intensity 109; 27.67°, intensity 62; 46.73°, intensity 55



Calculated PXRD pattern
Compound: Sr2AgIBrO2
Radiation: Cu Kα (λ = 1.5418 Å)
Structure: the GGA-PBE geometry in OQMD
Neutral-atom scattering factors, no anomalous dispersion.

Cell and atoms:
Cell lengths 9.604, 9.604, 9.604 Å; angles 154.65, 154.65, 36.15 degrees
Fractional coordinates of all 7 atoms:
Sr  0.000  0.000  0.000
Sr  0.185  0.185  0.000
Ag  0.597  0.597  0.000
I  0.779  0.779  0.000
Br  0.427  0.427  0.000
O  0.094  0.594  0.500
O  0.594  0.094  0.500

Largest 6 diffraction maxima, in order of falling intensity, 10° ≤ 2θ ≤ 80°:
32.44°, intensity 1000; 29.99°, intensity 688; 54.81°, intensity 434; 42.92°, intensity 331; 40.68°, intensity 146; 70.68°, intensity 118



Calculated PXRD pattern
Compound: CdHgTeO
Radiation: Cu Kα (λ = 1.5418 Å)
Structure: the GGA-PBE geometry in OQMD
Neutral-atom scattering factors, no anomalous dispersion.

Cell and atoms:
Cell lengths 6.832, 8.471, 6.597 Å; angles 90.00, 90.00, 90.00 degrees
Fractional coordinates of all 16 atoms:
Cd  0.139  0.065  0.000
Cd  0.361  0.065  0.500
Cd  0.639  0.935  0.000
Cd  0.861  0.935  0.500
Hg  0.048  0.662  0.130
Hg  0.452  0.662  0.630
Hg  0.548  0.338  0.130
Hg  0.952  0.338  0.630
Te  0.038  0.661  0.693
Te  0.462  0.661  0.193
Te  0.538  0.339  0.693
Te  0.962  0.339  0.193
O  0.081  0.085  0.670
O  0.419  0.085  0.170
O  0.581  0.915  0.670
O  0.919  0.915  0.170

Largest 6 diffraction maxima, in order of falling intensity, 10° ≤ 2θ ≤ 80°:
28.21°, intensity 1000; 27.03°, intensity 869; 31.69°, intensity 855; 26.09°, intensity 754; 29.05°, intensity 699; 37.92°, intensity 602



Calculated PXRD pattern
Compound: Lu4GeC3
Radiation: Cu Kα (λ = 1.5418 Å)
Structure: the GGA-PBE geometry in OQMD
Neutral-atom scattering factors, no anomalous dispersion.

Cell and atoms:
Cell lengths 3.471, 3.471, 26.278 Å; angles 90.00, 90.00, 120.00 degrees
Fractional coordinates of all 16 atoms:
Lu  0.000  0.000  0.159
Lu  0.000  0.000  0.341
Lu  0.000  0.000  0.659
Lu  0.000  0.000  0.841
Lu  0.333  0.667  0.055
Lu  0.333  0.667  0.445
Lu  0.667  0.333  0.555
Lu  0.667  0.333  0.945
Ge  0.333  0.667  0.250
Ge  0.667  0.333  0.750
C  0.000  0.000  0.000
C  0.000  0.000  0.500
C  0.333  0.667  0.612
C  0.333  0.667  0.888
C  0.667  0.333  0.112
C  0.667  0.333  0.388

Largest 6 diffraction maxima, in order of falling intensity, 10° ≤ 2θ ≤ 80°:
36.25°, intensity 1000; 34.37°, intensity 711; 52.75°, intensity 493; 32.77°, intensity 458; 34.12°, intensity 403; 64.33°, intensity 398



Calculated PXRD pattern
Compound: GdHoGe2Ir
Radiation: Cu Kα (λ = 1.5418 Å)
Structure: the GGA-PBE geometry in OQMD
Neutral-atom scattering factors, no anomalous dispersion.

Cell and atoms:
Cell lengths 5.709, 5.709, 10.354 Å; angles 114.92, 114.92, 44.29 degrees
Fractional coordinates of all 10 atoms:
Gd  0.008  0.008  0.329
Gd  0.992  0.992  0.671
Ho  0.189  0.189  0.119
Ho  0.811  0.811  0.881
Ge  0.352  0.352  0.446
Ge  0.479  0.479  0.115
Ge  0.521  0.521  0.885
Ge  0.648  0.648  0.554
Ir  0.272  0.272  0.666
Ir  0.728  0.728  0.334

Largest 6 diffraction maxima, in order of falling intensity, 10° ≤ 2θ ≤ 80°:
33.49°, intensity 1000; 32.69°, intensity 787; 40.19°, intensity 707; 41.98°, intensity 562; 36.73°, intensity 374; 33.98°, intensity 311



Calculated PXRD pattern
Compound: Sc2AuO4
Radiation: Cu Kα (λ = 1.5418 Å)
Structure: the GGA-PBE geometry in OQMD
Neutral-atom scattering factors, no anomalous dispersion.

Cell and atoms:
Cell lengths 6.391, 6.391, 6.391 Å; angles 60.00, 60.00, 60.00 degrees
Fractional coordinates of all 14 atoms:
Sc  0.000  0.000  0.000
Sc  0.000  0.000  0.500
Sc  0.000  0.500  0.000
Sc  0.500  0.000  0.000
Au  0.375  0.375  0.375
Au  0.625  0.625  0.625
O  0.198  0.767  0.767
O  0.233  0.233  0.233
O  0.233  0.233  0.802
O  0.233  0.802  0.233
O  0.767  0.198  0.767
O  0.767  0.767  0.198
O  0.767  0.767  0.767
O  0.802  0.233  0.233

Largest 6 diffraction maxima, in order of falling intensity, 10° ≤ 2θ ≤ 80°:
32.87°, intensity 1000; 27.92°, intensity 933; 52.62°, intensity 401; 49.40°, intensity 379; 57.70°, intensity 328; 16.99°, intensity 306



Calculated PXRD pattern
Compound: ThZn
Radiation: Cu Kα (λ = 1.5418 Å)
Structure: the GGA-PBE geometry in OQMD
Neutral-atom scattering factors, no anomalous dispersion.

Cell and atoms:
Cell lengths 4.687, 10.068, 6.375 Å; angles 90.00, 90.00, 90.00 degrees
Fractional coordinates of all 12 atoms:
Th  0.000  0.028  0.000
Th  0.000  0.338  0.661
Th  0.000  0.662  0.161
Th  0.000  0.972  0.500
Th  0.500  0.212  0.246
Th  0.500  0.788  0.746
Zn  0.000  0.372  0.137
Zn  0.000  0.628  0.637
Zn  0.500  0.132  0.731
Zn  0.500  0.485  0.941
Zn  0.500  0.515  0.441
Zn  0.500  0.868  0.231

Largest 6 diffraction maxima, in order of falling intensity, 10° ≤ 2θ ≤ 80°:
32.82°, intensity 1000; 35.20°, intensity 701; 38.42°, intensity 582; 25.19°, intensity 570; 33.27°, intensity 495; 34.01°, intensity 351



Calculated PXRD pattern
Compound: Pa7Al
Radiation: Cu Kα (λ = 1.5418 Å)
Structure: the GGA-PBE geometry in OQMD
Neutral-atom scattering factors, no anomalous dispersion.

Cell and atoms:
Cell lengths 6.472, 6.472, 6.472 Å; angles 60.00, 60.00, 60.00 degrees
Fractional coordinates of all 8 atoms:
Pa  0.000  0.000  0.000
Pa  0.000  0.000  0.500
Pa  0.000  0.500  0.000
Pa  0.000  0.500  0.500
Pa  0.500  0.000  0.000
Pa  0.500  0.000  0.500
Pa  0.500  0.500  0.000
Al  0.500  0.500  0.500

Largest 6 diffraction maxima, in order of falling intensity, 10° ≤ 2θ ≤ 80°:
33.93°, intensity 1000; 39.38°, intensity 504; 67.93°, intensity 421; 56.91°, intensity 354; 71.40°, intensity 122; 16.78°, intensity 81



Calculated PXRD pattern
Compound: PdI4
Radiation: Cu Kα (λ = 1.5418 Å)
Structure: the GGA-PBE geometry in OQMD
Neutral-atom scattering factors, no anomalous dispersion.

Cell and atoms:
Cell lengths 6.728, 6.728, 4.008 Å; angles 90.00, 90.00, 97.18 degrees
Fractional coordinates of all 5 atoms:
Pd  0.000  0.000  0.000
I  0.176  0.824  0.500
I  0.337  0.337  0.000
I  0.663  0.663  0.000
I  0.824  0.176  0.500

Largest 6 diffraction maxima, in order of falling intensity, 10° ≤ 2θ ≤ 80°:
28.42°, intensity 1000; 46.69°, intensity 620; 31.43°, intensity 515; 19.95°, intensity 220; 17.58°, intensity 218; 56.13°, intensity 194



Calculated PXRD pattern
Compound: RbSmSe4
Radiation: Cu Kα (λ = 1.5418 Å)
Structure: the GGA-PBE geometry in OQMD
Neutral-atom scattering factors, no anomalous dispersion.

Cell and atoms:
Cell lengths 6.355, 6.355, 8.713 Å; angles 90.00, 90.00, 90.00 degrees
Fractional coordinates of all 12 atoms:
Rb  0.250  0.250  0.000
Rb  0.750  0.750  0.000
Sm  0.250  0.250  0.500
Sm  0.750  0.750  0.500
Se  0.115  0.615  0.297
Se  0.115  0.885  0.703
Se  0.385  0.615  0.703
Se  0.385  0.885  0.297
Se  0.615  0.115  0.703
Se  0.615  0.385  0.297
Se  0.885  0.115  0.297
Se  0.885  0.385  0.703

Largest 6 diffraction maxima, in order of falling intensity, 10° ≤ 2θ ≤ 80°:
28.54°, intensity 1000; 33.16°, intensity 564; 10.15°, intensity 530; 45.12°, intensity 386; 34.95°, intensity 346; 52.98°, intensity 215



Calculated PXRD pattern
Compound: Nd4CCl4F
Radiation: Cu Kα (λ = 1.5418 Å)
Structure: the GGA-PBE geometry in OQMD
Neutral-atom scattering factors, no anomalous dispersion.

Cell and atoms:
Cell lengths 8.997, 8.997, 7.543 Å; angles 103.34, 103.34, 24.05 degrees
Fractional coordinates of all 10 atoms:
Nd  0.002  0.002  0.264
Nd  0.353  0.353  0.413
Nd  0.647  0.647  0.587
Nd  0.998  0.998  0.736
C  0.500  0.500  0.500
Cl  0.163  0.163  0.869
Cl  0.170  0.170  0.321
Cl  0.830  0.830  0.679
Cl  0.837  0.837  0.131
F  0.500  0.500  0.000

Largest 6 diffraction maxima, in order of falling intensity, 10° ≤ 2θ ≤ 80°:
33.72°, intensity 1000; 12.07°, intensity 637; 31.38°, intensity 515; 28.50°, intensity 412; 10.35°, intensity 400; 47.11°, intensity 338